[1]
For Cs2K4Pd2O5, the GGA-PBE geometry in OQMD gives the theoretical powder X-ray diffraction pattern in this record (CuKα).
Intensities are scaled so that the largest is 100.

The 10 most intense peaks (2θ = 10–80°), low angle first:
- 5.699 Å, rel. 89, hkl 0 2 0
- 3.137 Å, rel. 33, hkl 2 0 1
- 3.005 Å, rel. 47, hkl 1 1 2
- 2.992 Å, rel. 83, hkl 2 2 0
- 2.971 Å, rel. 100, hkl 0 2 2
- 2.850 Å, rel. 58, hkl 0 4 0
- 2.749 Å, rel. 66, hkl 2 2 -1
- 2.478 Å, rel. 35, hkl 2 0 -2
- 2.411 Å, rel. 31, hkl 1 3 -2
- 2.109 Å, rel. 32, hkl 2 4 1

Lattice parameters (Å, degrees): 7.029 11.399 6.962 90.00 90.21 90.00
Space group C2/m (No. 12)
One atom of each set of equivalent atoms:
Cs: 0.177 0.000 0.207 x4
K: 0.000 0.264 0.500 x4
K: 0.000 0.286 0.000 x4
Pd: 0.205 0.500 0.302 x4
O: 0.000 0.500 0.500 x2
O: 0.205 0.160 0.771 x8


[2]
For Cs2K2RbReO6, the GGA-PBE geometry in OQMD gives the theoretical powder X-ray diffraction pattern in this record (CuKα).
Intensities are scaled so that the largest is 100.

The 10 most intense peaks (2θ = 10–80°), low angle first:
- 5.932 Å, rel. 18, hkl 0 2 0
- 5.840 Å, rel. 69, hkl 0 0 1
- 3.361 Å, rel. 29, hkl 1 3 0
- 3.189 Å, rel. 52, hkl 2 0 0
- 3.173 Å, rel. 100, hkl 1 3 -1
- 2.920 Å, rel. 39, hkl 0 0 2
- 2.708 Å, rel. 97, hkl 1 3 1
- 2.658 Å, rel. 47, hkl 2 0 -2
- 1.965 Å, rel. 32, hkl 3 3 -1
- 1.835 Å, rel. 27, hkl 1 3 -3

Lattice parameters (Å, degrees): 6.795 11.864 6.221 90.00 110.18 90.00
Space group C2/m (No. 12)
One atom of each set of equivalent atoms:
Cs: 0.000 0.170 0.000 x4
K: 0.000 0.353 0.500 x4
Rb: 0.000 0.000 0.500 x2
Re: 0.000 0.500 0.000 x2
O: 0.174 0.386 0.193 x8
O: 0.174 0.500 0.813 x4


[3]
For Cs2K2RbReO6, the GGA-PBE geometry in OQMD gives the theoretical powder X-ray diffraction pattern in this record (CuKα).
Intensities are scaled so that the largest is 100.

The 10 most intense peaks (2θ = 10–80°), low angle first:
- 5.321 Å, rel. 55, hkl 1 1 0
- 4.176 Å, rel. 35, hkl 0 2 1
- 3.113 Å, rel. 52, hkl 0 0 2
- 3.071 Å, rel. 98, hkl 1 3 -1
- 3.019 Å, rel. 46, hkl 2 0 0
- 2.671 Å, rel. 51, hkl 2 0 -2
- 2.650 Å, rel. 100, hkl 1 3 1
- 1.903 Å, rel. 32, hkl 1 3 -3
- 1.860 Å, rel. 30, hkl 3 3 -1
- 1.610 Å, rel. 34, hkl 1 3 3

Lattice parameters (Å, degrees): 6.425 11.260 6.625 90.00 109.99 90.00
Space group C2/m (No. 12)
One atom of each set of equivalent atoms:
Cs: 0.000 0.174 0.000 x4
K: 0.000 0.334 0.500 x4
Rb: 0.000 0.500 0.000 x2
Re: 0.000 0.000 0.500 x2
O: 0.182 0.000 0.320 x4
O: 0.186 0.121 0.677 x8


[4]
For CsK4ReO6, the GGA-PBE geometry in OQMD gives the theoretical powder X-ray diffraction pattern in this record (CuKα).
Intensities are scaled so that the largest is 100.

The 10 most intense peaks (2θ = 10–80°), low angle first:
- 5.418 Å, rel. 76, hkl 0 2 0
- 4.615 Å, rel. 90, hkl 1 1 -1
- 3.607 Å, rel. 42, hkl 1 1 1
- 3.102 Å, rel. 46, hkl 2 0 0
- 3.020 Å, rel. 42, hkl 0 0 2
- 2.948 Å, rel. 77, hkl 1 3 -1
- 2.626 Å, rel. 100, hkl 1 3 1
- 2.551 Å, rel. 47, hkl 2 0 -2
- 1.847 Å, rel. 29, hkl 3 3 -1
- 1.812 Å, rel. 28, hkl 1 3 -3

Lattice parameters (Å, degrees): 6.463 10.835 6.292 90.00 106.28 90.00
Space group C2/m (No. 12)
One atom of each set of equivalent atoms:
Cs: 0.000 0.000 0.000 x2
K: 0.000 0.166 0.500 x4
K: 0.000 0.340 0.000 x4
Re: 0.000 0.500 0.500 x2
O: 0.174 0.374 0.681 x8
O: 0.187 0.500 0.310 x4


[5]
For Cs4KReO6, the GGA-PBE geometry in OQMD gives the theoretical powder X-ray diffraction pattern in this record (CuKα).
Intensities are scaled so that the largest is 100.

The 10 most intense peaks (2θ = 10–80°), low angle first:
- 5.579 Å, rel. 25, hkl 1 1 0
- 3.266 Å, rel. 100, hkl 1 3 -1
- 3.143 Å, rel. 44, hkl 2 0 0
- 3.047 Å, rel. 40, hkl 0 0 2
- 2.782 Å, rel. 44, hkl 2 0 -2
- 2.736 Å, rel. 84, hkl 1 3 1
- 1.975 Å, rel. 28, hkl 3 3 -1
- 1.927 Å, rel. 27, hkl 1 3 -3
- 1.682 Å, rel. 25, hkl 0 6 2
- 1.632 Å, rel. 28, hkl 3 3 1

Lattice parameters (Å, degrees): 6.801 12.103 6.594 90.00 112.43 90.00
Space group C2/m (No. 12)
One atom of each set of equivalent atoms:
Cs: 0.000 0.166 0.000 x4
Cs: 0.000 0.333 0.500 x4
K: 0.000 0.500 0.000 x2
Re: 0.000 0.000 0.500 x2
O: 0.167 0.000 0.321 x4
O: 0.183 0.111 0.687 x8


[6]
For CsKPdSe2, the GGA-PBE geometry in OQMD gives the theoretical powder X-ray diffraction pattern in this record (CuKα).
Intensities are scaled so that the largest is 100.

The 10 most intense peaks (2θ = 10–80°), low angle first:
- 6.175 Å, rel. 57, hkl 0 1 1
- 5.166 Å, rel. 31, hkl 0 0 2
- 3.144 Å, rel. 71, hkl 0 1 3
- 3.087 Å, rel. 23, hkl 0 2 2
- 2.876 Å, rel. 54, hkl 1 1 2
- 2.641 Å, rel. 100, hkl 1 2 1
- 2.583 Å, rel. 22, hkl 0 0 4
- 2.574 Å, rel. 19, hkl 1 0 3
- 1.977 Å, rel. 51, hkl 1 3 2
- 1.648 Å, rel. 70, hkl 1 2 5

Lattice parameters (Å, degrees): 3.875 7.701 10.332 90.00 90.00 90.00
Space group Imm2 (No. 44)
One atom of each set of equivalent atoms:
Cs: 0.000 0.000 0.000 x2
K: 0.000 0.000 0.391 x2
Pd: 0.000 0.500 0.192 x2
Se: 0.000 0.211 0.692 x4